The following is a calculated powder diffraction line list of K3SbPd3O8. It was derived from a DFT-relaxed cell (PBE, Alexandria), using Cu Ka.
No peak broadening, texture or thermal motion is included.

Largest 10 diffraction maxima, sorted by position, 5 to 70 degrees two-theta:
d (Å)	intensity
6.052	100
3.224	15
3.026	33
2.863	24
2.829	38
2.696	51
2.289	46
1.817	17
1.744	18
1.606	12

Atomic structure:
a = 7.140 Å, b = 7.140 Å, c = 6.898 Å
α = 115.69°, β = 115.69°, γ = 50.82°
Sites, in units of the cell vectors:
K: 0.000 0.000 0.000
K: 0.000 0.500 0.000
K: 0.500 0.000 0.000
Sb: 0.000 0.000 0.500
Pd: 0.000 0.500 0.500
Pd: 0.500 0.000 0.500
Pd: 0.500 0.500 0.500
O: 0.184 0.184 0.612
O: 0.218 0.730 0.288
O: 0.270 0.782 0.712
O: 0.314 0.314 0.392
O: 0.686 0.686 0.608
O: 0.730 0.218 0.288
O: 0.782 0.270 0.712
O: 0.816 0.816 0.388